The following is a calculated powder diffraction line list of Ca2Cd4In5. It was derived from a DFT-relaxed cell (GGA-PBE, Alexandria), using a wavelength of 1.5418 Å.

Structure:
Unit cell a=7.6352 b=7.6352 c=7.6352 alpha=133.57 beta=107.47 gamma=90.61
Atoms (fractional coordinates):
Ca 0.1780 0.1780 0.0000
Ca 0.8220 0.8220 0.0000
Cd 0.0795 0.7443 0.3352
Cd 0.4092 0.7443 0.6648
Cd 0.5908 0.2557 0.3352
Cd 0.9205 0.2557 0.6648
In 0.0000 0.5000 0.5000
In 0.3242 0.2511 0.5753
In 0.3242 0.7489 0.0731
In 0.6758 0.2511 0.9269
In 0.6758 0.7489 0.4247

The 8 most intense peaks (2θ from 10° to 90°), low angle first:
- 2θ 17.7, 5.009 Å, intensity 47
- 2θ 30.8, 2.899 Å, intensity 63
- 2θ 32.4, 2.760 Å, intensity 43
- 2θ 33.4, 2.685 Å, intensity 75
- 2θ 34.1, 2.626 Å, intensity 100
- 2θ 37.4, 2.407 Å, intensity 83
- 2θ 39.1, 2.306 Å, intensity 42
- 2θ 39.7, 2.270 Å, intensity 56


The following is a calculated powder diffraction line list of Ca3CdIn12. It was derived from a DFT-relaxed cell (GGA-PBE, Alexandria), using a wavelength of 1.5418 Å.

Structure:
Unit cell a=4.7768 b=4.7768 c=18.4793 alpha=90.00 beta=90.00 gamma=90.00
Atoms (fractional coordinates):
Ca 0.0000 0.0000 0.0000
Ca 0.0000 0.0000 0.2515
Ca 0.0000 0.0000 0.7485
Cd 0.0000 0.0000 0.5000
In 0.0000 0.5000 0.1258
In 0.0000 0.5000 0.3803
In 0.0000 0.5000 0.6197
In 0.0000 0.5000 0.8742
In 0.5000 0.0000 0.1258
In 0.5000 0.0000 0.3803
In 0.5000 0.0000 0.6197
In 0.5000 0.0000 0.8742
In 0.5000 0.5000 0.0000
In 0.5000 0.5000 0.2487
In 0.5000 0.5000 0.5000
In 0.5000 0.5000 0.7513

The 8 most intense peaks (2θ from 10° to 90°), low angle first:
- 2θ 32.8, 2.727 Å, intensity 100
- 2θ 37.7, 2.388 Å, intensity 34
- 2θ 39.0, 2.310 Å, intensity 16
- 2θ 54.3, 1.689 Å, intensity 11
- 2θ 55.3, 1.660 Å, intensity 21
- 2θ 65.0, 1.436 Å, intensity 26
- 2θ 66.8, 1.401 Å, intensity 11
- 2θ 68.9, 1.363 Å, intensity 11


The following is a calculated powder diffraction line list of CaCd9In2. It was derived from a DFT-relaxed cell (GGA-PBE, Alexandria), using a wavelength of 1.5418 Å.

Structure:
Unit cell a=9.3953 b=9.3953 c=9.3953 alpha=101.61 beta=101.61 gamma=126.70
Atoms (fractional coordinates):
Ca 0.3750 0.6250 0.7500
Ca 0.6250 0.3750 0.2500
Cd 0.1219 0.5457 0.3361
Cd 0.1219 0.7857 0.5762
Cd 0.1250 0.8750 0.2500
Cd 0.2143 0.2904 0.3361
Cd 0.2143 0.8781 0.9238
Cd 0.2904 0.2143 0.8361
Cd 0.2904 0.4543 0.0762
Cd 0.4543 0.2904 0.5762
Cd 0.4543 0.8781 0.1639
Cd 0.5457 0.1219 0.8361
Cd 0.5457 0.7096 0.4238
Cd 0.7096 0.5457 0.9238
Cd 0.7096 0.7857 0.1639
Cd 0.7857 0.1219 0.0762
Cd 0.7857 0.7096 0.6639
Cd 0.8750 0.1250 0.7500
Cd 0.8781 0.2143 0.4238
Cd 0.8781 0.4543 0.6639
In 0.0000 0.0000 0.0000
In 0.0000 0.0000 0.5000
In 0.0000 0.5000 0.0000
In 0.5000 0.0000 0.5000

The 8 most intense peaks (2θ from 10° to 90°), low angle first:
- 2θ 14.9, 5.938 Å, intensity 20
- 2θ 31.9, 2.804 Å, intensity 61
- 2θ 32.8, 2.734 Å, intensity 23
- 2θ 33.8, 2.655 Å, intensity 42
- 2θ 36.2, 2.483 Å, intensity 45
- 2θ 39.4, 2.286 Å, intensity 100
- 2θ 40.1, 2.247 Å, intensity 29
- 2θ 59.2, 1.561 Å, intensity 29


The following is a calculated powder diffraction line list of CaCd4In2. It was derived from a DFT-relaxed cell (GGA-PBE, Alexandria), using a wavelength of 1.5418 Å.

Structure:
Unit cell a=8.9256 b=8.9256 c=4.5311 alpha=90.00 beta=90.00 gamma=150.24
Atoms (fractional coordinates):
Ca 0.0000 0.0000 0.0000
Cd 0.1858 0.8142 0.5000
Cd 0.3102 0.6898 0.0000
Cd 0.6898 0.3102 0.0000
Cd 0.8142 0.1858 0.5000
In 0.4184 0.5816 0.5000
In 0.5816 0.4184 0.5000

The 8 most intense peaks (2θ from 10° to 90°), low angle first:
- 2θ 10.3, 8.626 Å, intensity 39
- 2θ 20.0, 4.430 Å, intensity 17
- 2θ 31.8, 2.811 Å, intensity 100
- 2θ 38.2, 2.355 Å, intensity 90
- 2θ 39.3, 2.292 Å, intensity 34
- 2θ 39.8, 2.266 Å, intensity 32
- 2θ 41.9, 2.157 Å, intensity 16
- 2θ 57.2, 1.611 Å, intensity 21